No. 1
The following is a theoretical XRD peak list of TaF5. It was derived from a crystal structure in the Materials Project, relaxed with GGA-PBE, using Cu Kα.
Neutral-atom scattering factors, no anomalous dispersion.

Main lines, sorted by position (10° ≤ 2θ ≤ 80°):
Position (°2θ)  d_spacing  I/Imax
18.9  4.690  100
22.2  4.006  97
25.7  3.460  64
31.4  2.850  50
36.9  2.436  26
38.4  2.345  24
48.8  1.866  47
53.0  1.729  25

Structure:
a b c (Å): 5.510 5.510 5.510
angles (deg): 140.52 132.60 63.34
Fractional positions:
Ta (0.000, 0.000, 0.000)
F (0.200, 0.200, 0.000)
F (0.232, 0.500, 0.732)
F (0.500, 0.000, 0.500)
F (0.768, 0.500, 0.268)
F (0.800, 0.800, 0.000)


No. 2
The following is a theoretical XRD peak list of TaF5. It was derived from a crystal structure in the Materials Project, relaxed with GGA-PBE, using Cu Kα.
Neutral-atom scattering factors, no anomalous dispersion.

Main lines, sorted by position (10° ≤ 2θ ≤ 80°):
Position (°2θ)  d_spacing  I/Imax
17.1  5.174  42
17.6  5.043  71
19.3  4.604  54
24.7  3.611  35
25.6  3.480  100
36.1  2.491  20
38.9  2.314  22
44.2  2.050  21

Structure:
a b c (Å): 5.540 10.087 7.944
angles (deg): 90.00 110.93 90.00
Fractional positions:
Ta (0.118, 0.249, 0.402)
Ta (0.118, 0.251, 0.902)
Ta (0.882, 0.749, 0.098)
Ta (0.882, 0.751, 0.598)
F (0.115, 0.609, 0.202)
F (0.115, 0.891, 0.702)
F (0.117, 0.198, 0.653)
F (0.117, 0.302, 0.153)
F (0.162, 0.636, 0.627)
F (0.162, 0.864, 0.127)
F (0.356, 0.117, 0.014)
F (0.356, 0.383, 0.514)
F (0.396, 0.132, 0.430)
F (0.396, 0.368, 0.930)
F (0.604, 0.632, 0.070)
F (0.604, 0.868, 0.570)
F (0.644, 0.617, 0.486)
F (0.644, 0.883, 0.986)
F (0.838, 0.136, 0.873)
F (0.838, 0.364, 0.373)
F (0.883, 0.698, 0.847)
F (0.883, 0.802, 0.347)
F (0.885, 0.109, 0.298)
F (0.885, 0.391, 0.798)


No. 3
The following is a theoretical XRD peak list of TaF5. It was derived from a crystal structure in the Materials Project, relaxed with GGA-PBE, using Cu Kα.
Neutral-atom scattering factors, no anomalous dispersion.

Main lines, sorted by position (10° ≤ 2θ ≤ 80°):
Position (°2θ)  d_spacing  I/Imax
17.7  5.018  100
21.7  4.099  33
24.8  3.589  45
26.4  3.379  39
28.1  3.173  17
35.8  2.510  21
44.2  2.049  21
49.1  1.855  12

Structure:
a b c (Å): 5.553 5.563 7.908
angles (deg): 109.76 96.77 110.37
Fractional positions:
Ta (0.000, 0.000, 0.000)
Ta (0.005, 0.502, 0.501)
F (0.077, 0.321, 0.251)
F (0.207, 0.864, 0.117)
F (0.250, 0.404, 0.618)
F (0.282, 0.852, 0.554)
F (0.302, 0.221, 0.948)
F (0.697, 0.780, 0.051)
F (0.728, 0.152, 0.450)
F (0.762, 0.597, 0.379)
F (0.791, 0.133, 0.883)
F (0.929, 0.680, 0.749)


No. 4
The following is a theoretical XRD peak list of TaF5. It was derived from a crystal structure in the Materials Project, relaxed with GGA-PBE, using Cu Kα.
Neutral-atom scattering factors, no anomalous dispersion.

Main lines, sorted by position (10° ≤ 2θ ≤ 80°):
Position (°2θ)  d_spacing  I/Imax
15.9  5.558  100
21.1  4.202  50
25.7  3.463  51
26.6  3.352  34
33.5  2.672  38
40.8  2.210  16
50.8  1.796  22
52.9  1.730  23

Structure:
a b c (Å): 5.849 5.849 8.404
angles (deg): 90.00 90.00 143.70
Fractional positions:
Ta (0.000, 0.000, 0.000)
Ta (0.000, 0.000, 0.500)
F (0.016, 0.984, 0.750)
F (0.162, 0.838, 0.069)
F (0.162, 0.838, 0.431)
F (0.429, 0.571, 0.091)
F (0.429, 0.571, 0.409)
F (0.571, 0.429, 0.591)
F (0.571, 0.429, 0.909)
F (0.838, 0.162, 0.569)
F (0.838, 0.162, 0.931)
F (0.984, 0.016, 0.250)


No. 5
The following is a theoretical XRD peak list of Tb2F15. It was derived from a crystal structure in the Materials Project, relaxed with GGA-PBE, using Cu Kα.
Neutral-atom scattering factors, no anomalous dispersion.

Main lines, sorted by position (10° ≤ 2θ ≤ 80°):
Position (°2θ)  d_spacing  I/Imax
13.9  6.391  100
17.8  4.973  65
20.6  4.308  66
22.7  3.925  98
24.9  3.572  47
25.7  3.473  26
29.3  3.051  27
34.3  2.616  24

Structure:
a b c (Å): 8.121 8.121 8.681
angles (deg): 94.32 94.32 103.81
Fractional positions:
Tb (0.207, 0.793, 0.750)
Tb (0.265, 0.735, 0.250)
Tb (0.735, 0.265, 0.750)
Tb (0.793, 0.207, 0.250)
F (0.013, 0.785, 0.222)
F (0.014, 0.258, 0.449)
F (0.036, 0.235, 0.119)
F (0.164, 0.510, 0.719)
F (0.212, 0.440, 0.225)
F (0.215, 0.987, 0.278)
F (0.235, 0.036, 0.619)
F (0.252, 0.333, 0.414)
F (0.258, 0.014, 0.949)
F (0.263, 0.722, 0.999)
F (0.278, 0.737, 0.501)
F (0.333, 0.252, 0.914)
F (0.417, 0.583, 0.750)
F (0.440, 0.212, 0.725)
F (0.490, 0.836, 0.781)
F (0.510, 0.164, 0.219)
F (0.560, 0.788, 0.275)
F (0.583, 0.417, 0.250)
F (0.667, 0.748, 0.086)
F (0.722, 0.263, 0.499)
F (0.737, 0.278, 0.001)
F (0.742, 0.986, 0.051)
F (0.748, 0.667, 0.586)
F (0.765, 0.964, 0.381)
F (0.785, 0.013, 0.722)
F (0.788, 0.560, 0.775)
F (0.836, 0.490, 0.281)
F (0.964, 0.765, 0.881)
F (0.986, 0.742, 0.551)
F (0.987, 0.215, 0.778)


No. 6
The following is a theoretical XRD peak list of Tb4F15. It was derived from a crystal structure in the Materials Project, relaxed with GGA-PBE, using Cu Kα.
Neutral-atom scattering factors, no anomalous dispersion.

Main lines, sorted by position (10° ≤ 2θ ≤ 80°):
Position (°2θ)  d_spacing  I/Imax
21.3  4.179  100
22.0  4.047  28
25.5  3.490  21
27.3  3.271  19
29.3  3.046  29
42.5  2.128  16
42.6  2.121  18
50.3  1.814  18

Structure:
a b c (Å): 8.607 8.607 8.607
angles (deg): 98.93 98.93 98.93
Fractional positions:
Tb (0.183, 0.750, 0.317)
Tb (0.250, 0.250, 0.250)
Tb (0.250, 0.683, 0.817)
Tb (0.317, 0.183, 0.750)
Tb (0.683, 0.817, 0.250)
Tb (0.750, 0.317, 0.183)
Tb (0.750, 0.750, 0.750)
Tb (0.817, 0.250, 0.683)
F (0.013, 0.773, 0.772)
F (0.038, 0.462, 0.750)
F (0.047, 0.157, 0.684)
F (0.157, 0.684, 0.047)
F (0.184, 0.657, 0.547)
F (0.227, 0.228, 0.987)
F (0.228, 0.987, 0.227)
F (0.250, 0.962, 0.538)
F (0.272, 0.273, 0.513)
F (0.273, 0.513, 0.272)
F (0.316, 0.953, 0.843)
F (0.343, 0.453, 0.816)
F (0.453, 0.816, 0.343)
F (0.462, 0.750, 0.038)
F (0.487, 0.728, 0.727)
F (0.513, 0.272, 0.273)
F (0.538, 0.250, 0.962)
F (0.547, 0.184, 0.657)
F (0.657, 0.547, 0.184)
F (0.684, 0.047, 0.157)
F (0.727, 0.487, 0.728)
F (0.728, 0.727, 0.487)
F (0.750, 0.038, 0.462)
F (0.772, 0.013, 0.773)
F (0.773, 0.772, 0.013)
F (0.816, 0.343, 0.453)
F (0.843, 0.316, 0.953)
F (0.953, 0.843, 0.316)
F (0.962, 0.538, 0.250)
F (0.987, 0.227, 0.228)


No. 7
The following is a theoretical XRD peak list of Tb2F15. It was derived from a crystal structure in the Materials Project, relaxed with GGA-PBE, using Cu Kα.
Neutral-atom scattering factors, no anomalous dispersion.

Main lines, sorted by position (10° ≤ 2θ ≤ 80°):
Position (°2θ)  d_spacing  I/Imax
14.9  5.964  50
15.5  5.712  100
18.6  4.776  25
21.5  4.128  69
22.0  4.032  58
22.3  3.987  52
26.9  3.316  24
44.0  2.056  21

Structure:
a b c (Å): 8.556 8.556 8.564
angles (deg): 105.18 105.18 88.38
Fractional positions:
Tb (0.175, 0.825, 0.750)
Tb (0.263, 0.737, 0.250)
Tb (0.737, 0.263, 0.750)
Tb (0.825, 0.175, 0.250)
F (0.017, 0.285, 0.814)
F (0.073, 0.267, 0.416)
F (0.095, 0.119, 0.205)
F (0.119, 0.095, 0.705)
F (0.184, 0.474, 0.214)
F (0.195, 0.776, 0.994)
F (0.200, 0.549, 0.680)
F (0.224, 0.805, 0.506)
F (0.267, 0.073, 0.916)
F (0.285, 0.017, 0.314)
F (0.325, 0.498, 0.076)
F (0.433, 0.567, 0.750)
F (0.451, 0.800, 0.820)
F (0.474, 0.184, 0.714)
F (0.498, 0.325, 0.576)
F (0.502, 0.675, 0.424)
F (0.526, 0.816, 0.286)
F (0.549, 0.200, 0.180)
F (0.567, 0.433, 0.250)
F (0.675, 0.502, 0.924)
F (0.715, 0.983, 0.686)
F (0.733, 0.927, 0.084)
F (0.776, 0.195, 0.494)
F (0.800, 0.451, 0.320)
F (0.805, 0.224, 0.006)
F (0.816, 0.526, 0.786)
F (0.881, 0.905, 0.295)
F (0.905, 0.881, 0.795)
F (0.927, 0.733, 0.584)
F (0.983, 0.715, 0.186)


No. 8
The following is a theoretical XRD peak list of TbF4. It was derived from a crystal structure in the Materials Project, relaxed with GGA-PBE, using Cu Kα.
Neutral-atom scattering factors, no anomalous dispersion.

Main lines, sorted by position (10° ≤ 2θ ≤ 80°):
Position (°2θ)  d_spacing  I/Imax
20.5  4.339  99
20.7  4.289  55
23.0  3.868  70
23.2  3.831  80
24.2  3.673  45
26.2  3.406  100
26.9  3.315  41
41.8  2.160  52

Structure:
a b c (Å): 8.381 8.381 8.016
angles (deg): 113.43 113.43 85.05
Fractional positions:
Tb (0.199, 0.801, 0.750)
Tb (0.227, 0.363, 0.141)
Tb (0.363, 0.227, 0.641)
Tb (0.637, 0.773, 0.359)
Tb (0.773, 0.637, 0.859)
Tb (0.801, 0.199, 0.250)
F (0.000, 0.500, 0.000)
F (0.028, 0.723, 0.865)
F (0.072, 0.175, 0.440)
F (0.175, 0.072, 0.940)
F (0.201, 0.587, 0.451)
F (0.233, 0.502, 0.668)
F (0.261, 0.344, 0.874)
F (0.277, 0.972, 0.635)
F (0.344, 0.261, 0.374)
F (0.400, 0.600, 0.250)
F (0.413, 0.799, 0.049)
F (0.498, 0.767, 0.832)
F (0.500, 0.000, 0.500)
F (0.502, 0.233, 0.168)
F (0.587, 0.201, 0.951)
F (0.600, 0.400, 0.750)
F (0.656, 0.739, 0.626)
F (0.723, 0.028, 0.365)
F (0.739, 0.656, 0.126)
F (0.767, 0.498, 0.332)
F (0.799, 0.413, 0.549)
F (0.825, 0.928, 0.060)
F (0.928, 0.825, 0.560)
F (0.972, 0.277, 0.135)